# Mg2BeMoO6
Theoretical powder diffraction line list, Cu Kα. Input: a structure optimized by DFT (PBE+U).
Kinematic intensities with the Lorentz-polarization factor, no thermal factor.

Crystal structure
```
data_Mg2BeMoO6
_symmetry_space_group_name_H-M 'P 4 m m'
_symmetry_Int_Tables_number 99
_symmetry_space_group_name_Hall 'P 4 -2'
_cell_length_a 4.962
_cell_length_b 4.962
_cell_length_c 4.698
_cell_angle_alpha 90.00
_cell_angle_beta 90.00
_cell_angle_gamma 90.00
loop_
_atom_site_label
_atom_site_type_symbol
_atom_site_fract_x
_atom_site_fract_y
_atom_site_fract_z
Mg1 Mg 0.000 0.500 0.000
Be1 Be 0.000 0.000 0.590
Mo1 Mo 0.500 0.500 0.619
O1 O 0.000 0.000 0.265
O2 O 0.246 0.246 0.755
O3 O 0.500 0.500 0.236
```

Top 10 peaks for 2θ = 10–90°, most intense first:
| Position (°2θ) | d [Å] | I (rel.) |
| --- | --- | --- |
| 31.83 | 2.811 | 100 |
| 17.88 | 4.962 | 92 |
| 26.12 | 3.412 | 72 |
| 18.89 | 4.698 | 62 |
| 25.38 | 3.509 | 39 |
| 52.13 | 1.754 | 39 |
| 45.19 | 2.007 | 34 |
| 36.20 | 2.481 | 29 |
| 46.52 | 1.952 | 29 |
| 62.39 | 1.488 | 28 |